The following is a computed powder XRD pattern of CaVSi4H6O15. It was derived from a structure optimized by DFT (GGA+U), using Cu Kα (λ = 1.5418 Å).

Most intense lines, 2θ = 10–90°, most intense first:
- (1 1 0), 10.5°, I = 100
- (1 1 2), 22.4°, I = 62
- (2 0 2), 23.3°, I = 56
- (0 0 2), 19.7°, I = 53
- (1 1 1), 14.4°, I = 53
- (4 0 0), 24.9°, I = 50
- (3 3 1), 33.4°, I = 47
- (3 3 0), 31.9°, I = 24
- (0 2 3), 34.5°, I = 23
- (3 1 3), 36.4°, I = 17

Structural model:
a = 14.2967 Å, b = 10.4272 Å, c = 9.0037 Å
α = 90.00°, β = 90.00°, γ = 90.00°
Space group Cmc2_1 (No. 36)
One atom of each set of equivalent atoms:
Ca: 0.0000 0.2468 0.0000
V: 0.0000 0.0463 0.3323
Si: 0.2048 0.1007 0.8686
Si: 0.2050 0.1524 0.2121
H: 0.0000 0.3421 0.4332
H: 0.0000 0.3557 0.6422
H: 0.0736 0.4886 0.0185
H: 0.1639 0.4142 0.9626
O: 0.0000 0.1092 0.4955
O: 0.0000 0.3298 0.7657
O: 0.0000 0.4048 0.5129
O: 0.0903 0.1456 0.2226
O: 0.0909 0.0872 0.8559
O: 0.1115 0.4047 0.0320
O: 0.2347 0.1299 0.0395
O: 0.2471 0.2149 0.7667
O: 0.2490 0.0378 0.3173

The following is a computed powder XRD pattern of Ca3HoMn4O12. It was derived from a structure optimized by DFT (GGA+U), using Cu Kα (λ = 1.5418 Å).

Most intense lines, 2θ = 10–90°, most intense first:
- (1 2 -1), 33.3°, I = 100
- (3 2 -1), 59.8°, I = 35
- (2 0 -2), 47.6°, I = 30
- (2 0 0), 33.5°, I = 25
- (0 0 2), 32.8°, I = 23
- (0 1 0), 11.7°, I = 23
- (1 1 1), 26.1°, I = 22
- (0 4 0), 48.0°, I = 18
- (2 4 -2), 69.9°, I = 16
- (0 1 1), 20.0°, I = 14

Structural model:
a = 5.3474 Å, b = 7.5789 Å, c = 5.4676 Å
α = 90.00°, β = 90.02°, γ = 90.00°
Space group Pm (No. 6)
One atom of each set of equivalent atoms:
Ca: 0.0000 0.0000 0.0000
Ca: 0.0189 0.5000 0.9034
Ca: 0.5190 0.0000 0.4975
Ho: 0.4971 0.5000 0.3918
Mn: 0.0080 0.2491 0.4534
Mn: 0.5118 0.2489 0.9487
O: 0.0890 0.0000 0.4280
O: 0.2237 0.3003 0.1679
O: 0.3096 0.2990 0.6546
O: 0.4278 0.0000 0.9292
O: 0.5908 0.5000 0.9797
O: 0.7093 0.2156 0.2509
O: 0.8088 0.2096 0.7489
O: 0.9158 0.5000 0.4729

The following is a computed powder XRD pattern of CaHoMo2O6. It was derived from a structure optimized by DFT (GGA+U), using Cu Kα (λ = 1.5418 Å).

Most intense lines, 2θ = 10–90°, most intense first:
- (1 1 1), 31.6°, I = 100
- (1 1 -3), 31.8°, I = 98
- (2 0 -2), 32.7°, I = 43
- (0 2 0), 30.9°, I = 41
- (2 2 -2), 45.6°, I = 38
- (0 1 1), 18.9°, I = 33
- (0 0 4), 45.2°, I = 26
- (3 1 -5), 57.9°, I = 24
- (3 1 -1), 57.5°, I = 24
- (1 3 -2), 51.5°, I = 20

Structural model:
a = 5.4792 Å, b = 5.7915 Å, c = 9.6691 Å
α = 90.00°, β = 123.94°, γ = 90.00°
Space group Pc (No. 7)
One atom of each set of equivalent atoms:
Ca: 0.0000 0.1955 0.0000
Ho: 0.4622 0.3152 0.4982
Mo: 0.2355 0.2472 0.7497
Mo: 0.7360 0.2481 0.2493
O: 0.0064 0.4494 0.8127
O: 0.1245 0.0596 0.3116
O: 0.3637 0.4601 0.1833
O: 0.4805 0.0655 0.6844
O: 0.5964 0.3123 0.9952
O: 0.8566 0.1984 0.5041

The following is a computed powder XRD pattern of CaHoV2O6. It was derived from a structure optimized by DFT (GGA+U), using Cu Kα (λ = 1.5418 Å).

Most intense lines, 2θ = 10–90°, most intense first:
- (1 1 1), 32.8°, I = 100
- (1 1 -3), 33.1°, I = 94
- (0 1 1), 19.7°, I = 62
- (2 0 -2), 33.5°, I = 47
- (2 2 -2), 47.1°, I = 43
- (0 2 0), 32.1°, I = 38
- (2 0 -6), 59.9°, I = 37
- (1 0 -2), 20.4°, I = 37
- (1 0 0), 20.1°, I = 37
- (0 0 4), 47.6°, I = 31

Structural model:
a = 5.3499 Å, b = 5.5810 Å, c = 9.2720 Å
α = 90.00°, β = 124.49°, γ = 90.00°
Space group Pc (No. 7)
One atom of each set of equivalent atoms:
Ca: 0.0000 0.1968 0.0000
Ho: 0.4619 0.3163 0.4973
V: 0.2338 0.2462 0.7484
V: 0.7361 0.2465 0.2484
O: 0.0931 0.0569 0.3014
O: 0.3922 0.4592 0.1988
O: 0.4898 0.0538 0.6928
O: 0.5845 0.2843 0.0096
O: 0.8619 0.2201 0.4871
O: 0.9929 0.4609 0.8007

The following is a computed powder XRD pattern of KCaInWO6. It was derived from a structure optimized by DFT (GGA+U), using Cu Kα (λ = 1.5418 Å).

Most intense lines, 2θ = 10–90°, most intense first:
- (2 2 0), 30.9°, I = 100
- (2 0 0), 21.7°, I = 61
- (4 2 2), 55.0°, I = 39
- (4 0 0), 44.3°, I = 34
- (4 2 0), 49.9°, I = 27
- (6 4 2), 89.7°, I = 21
- (4 4 0), 64.5°, I = 20
- (6 2 0), 73.2°, I = 17
- (6 0 0), 68.9°, I = 12
- (1 1 1), 18.8°, I = 9

Structural model:
a = 8.1770 Å, b = 8.1770 Å, c = 8.1770 Å
α = 90.00°, β = 90.00°, γ = 90.00°
Space group F-43m (No. 216)
One atom of each set of equivalent atoms:
K: 0.0000 0.0000 0.0000
Ca: 0.0000 0.0000 0.5000
In: 0.2500 0.2500 0.2500
W: 0.2500 0.2500 0.7500
O: 0.0124 0.2500 0.7500

The following is a computed powder XRD pattern of NaCaInWO6. It was derived from a structure optimized by DFT (GGA+U), using Cu Kα (λ = 1.5418 Å).

Most intense lines, 2θ = 10–90°, most intense first:
- (2 2 0), 31.2°, I = 100
- (2 0 0), 21.9°, I = 78
- (4 2 2), 55.5°, I = 39
- (4 0 0), 44.7°, I = 35
- (4 2 0), 50.3°, I = 33
- (4 4 0), 65.1°, I = 21
- (6 2 0), 73.9°, I = 17
- (6 0 0), 69.6°, I = 15
- (1 1 1), 19.0°, I = 11
- (6 4 0), 86.6°, I = 7

Structural model:
a = 8.1083 Å, b = 8.1083 Å, c = 8.1083 Å
α = 90.00°, β = 90.00°, γ = 90.00°
Space group F-43m (No. 216)
One atom of each set of equivalent atoms:
Na: 0.0000 0.0000 0.0000
Ca: 0.0000 0.0000 0.5000
In: 0.2500 0.2500 0.7500
W: 0.2500 0.2500 0.2500
O: 0.0111 0.2500 0.2500